Calculated PXRD pattern
Compound: HoEr2Cd3AgAu2
Radiation: Cu Kα X-rays
Structure: the PBE geometry in OQMD
Intensities are scaled so that the largest is 100.

Principal peaks in the range 2θ = 10–90°, by intensity:
2θ 32.75, intensity 100; 2θ 35.39, intensity 91; 2θ 39.86, intensity 51; 2θ 34.99, intensity 43; 2θ 64.66, intensity 33; 2θ 42.46, intensity 28; 2θ 63.79, intensity 25; 2θ 47.62, intensity 23; 2θ 60.44, intensity 17; 2θ 48.37, intensity 15

```
data_HoEr2Cd3AgAu2
_chemical_formula_sum 'Ho1 Er2 Cd3 Ag1 Au2'
_symmetry_space_group_name_H-M 'P 1'
_symmetry_Int_Tables_number 1
_symmetry_space_group_name_Hall 'P 1'
_cell_length_a 3.820
_cell_length_b 7.836
_cell_length_c 7.836
_cell_angle_alpha 120.05
_cell_angle_beta 90.00
_cell_angle_gamma 90.00
loop_
_atom_site_label
_atom_site_type_symbol
_atom_site_fract_x
_atom_site_fract_y
_atom_site_fract_z
Ho1 Ho 0.000 0.000 0.000
Er1 Er 0.000 0.408 0.816
Er2 Er 0.000 0.816 0.408
Cd1 Cd 0.500 0.146 0.408
Cd2 Cd 0.500 0.408 0.146
Cd3 Cd 0.500 0.670 0.670
Ag1 Ag 0.000 0.408 0.408
Au1 Au 0.500 0.075 0.741
Au2 Au 0.500 0.741 0.075
```